No. 1
Calculated X-ray powder pattern
Compound: SrCuTe2O7
Radiation: Cu Kα
Structure: a structure optimized by DFT (PBE)
Kinematic intensities with the Lorentz-polarization factor, no thermal factor.

Principal peaks in the range 2θ from 5° to 70°, by intensity:
d 2.818, 31.75 deg, I 100; d 3.170, 28.15 deg, I 89; d 2.759, 32.45 deg, I 35; d 3.278, 27.21 deg, I 33; d 1.672, 54.92 deg, I 26; d 2.111, 42.85 deg, I 25; d 4.494, 19.76 deg, I 24; d 1.604, 57.46 deg, I 23

Atomic structure:
```
SrCuTe2O7
1.0
7.235 0.000 0.000
0.000 15.490 0.000
0.000 0.000 5.518
Sr Cu Te O
4 4 8 28
Cartesian
1.637 0.652 1.379
1.637 7.093 4.138
5.598 8.397 1.379
5.598 14.838 4.138
1.889 9.506 1.379
1.889 13.729 4.138
5.346 1.761 1.379
5.346 5.984 4.138
0.058 10.398 4.138
0.058 12.837 1.379
3.519 2.707 4.138
3.519 5.038 1.379
3.716 10.452 4.138
3.716 12.783 1.379
7.177 2.653 4.138
7.177 5.092 1.379
0.553 9.131 5.518
0.553 9.131 2.759
0.553 14.104 0.000
0.553 14.104 2.759
0.761 3.872 0.000
0.761 3.872 2.759
1.682 1.727 4.138
1.682 6.018 1.379
1.758 11.315 4.138
1.758 11.920 1.379
3.326 9.272 0.053
3.326 9.272 2.706
3.326 13.963 2.811
3.326 13.963 5.465
3.909 1.527 0.053
3.909 1.527 2.706
3.909 6.218 2.811
3.909 6.218 5.465
5.477 3.570 4.138
5.477 4.175 1.379
5.553 9.472 4.138
5.553 13.763 1.379
6.474 11.617 0.000
6.474 11.617 2.759
6.682 1.386 5.518
6.682 1.386 2.759
6.682 6.359 0.000
6.682 6.359 2.759
```



No. 2
Calculated X-ray powder pattern
Compound: Sr2Cu2TeO7
Radiation: Cu Kα
Structure: a structure optimized by DFT (PBE)
Kinematic intensities with the Lorentz-polarization factor, no thermal factor.

Principal peaks in the range 2θ from 5° to 70°, by intensity:
d 3.220, 27.70 deg, I 100; d 2.844, 31.46 deg, I 62; d 1.830, 49.83 deg, I 34; d 2.604, 34.44 deg, I 30; d 2.710, 33.06 deg, I 30; d 2.572, 34.88 deg, I 29; d 4.516, 19.66 deg, I 24; d 2.486, 36.13 deg, I 23

Atomic structure:
```
Sr2Cu2TeO7
1.0
-13.549 2.604 2.572
13.549 -2.604 2.572
13.549 2.604 -2.572
Sr Cu Te O
4 4 2 14
Cartesian
3.763 0.018 0.000
9.787 0.018 0.000
3.763 2.587 2.572
9.787 2.587 2.572
1.629 2.604 0.004
11.920 2.604 0.004
1.629 0.001 2.576
11.920 0.001 2.576
6.775 2.590 -0.130
6.775 0.015 2.442
11.512 1.301 -1.280
15.598 1.306 -1.287
11.501 -1.298 1.286
15.587 -1.303 1.292
6.775 0.650 0.517
4.778 2.524 -0.053
8.771 2.524 -0.053
-2.049 1.298 1.286
15.598 1.298 1.286
2.037 1.303 1.292
11.512 1.303 1.292
4.778 0.081 2.520
8.771 0.081 2.520
6.775 1.954 3.089
```



No. 3
Calculated X-ray powder pattern
Compound: SrTiCuO4
Radiation: Cu Kα
Structure: a structure optimized by DFT (PBE)
Kinematic intensities with the Lorentz-polarization factor, no thermal factor.

Principal peaks in the range 2θ from 5° to 70°, by intensity:
d 2.712, 33.04 deg, I 100; d 1.977, 45.89 deg, I 84; d 3.220, 27.70 deg, I 78; d 3.698, 24.07 deg, I 49; d 1.969, 46.10 deg, I 47; d 2.701, 33.17 deg, I 39; d 2.219, 40.66 deg, I 37; d 1.476, 62.97 deg, I 35

Atomic structure:
```
SrTiCuO4
1.0
3.955 0.000 0.000
0.000 3.955 0.000
0.000 0.000 11.093
Sr Ti Cu O
2 2 2 8
Cartesian
0.989 0.989 1.406
2.966 2.966 9.687
0.989 0.989 8.086
2.966 2.966 3.008
0.989 2.966 5.547
2.966 0.989 5.547
0.989 0.989 5.838
0.989 0.989 9.970
0.989 2.966 3.079
0.989 2.966 8.015
2.966 0.989 3.079
2.966 0.989 8.015
2.966 2.966 1.123
2.966 2.966 5.255
```



No. 4
Calculated X-ray powder pattern
Compound: SrTi4Cu3O12
Radiation: Cu Kα
Structure: a structure optimized by DFT (PBE)
Kinematic intensities with the Lorentz-polarization factor, no thermal factor.

Principal peaks in the range 2θ from 5° to 70°, by intensity:
d 2.652, 33.80 deg, I 100; d 1.531, 60.47 deg, I 49; d 1.875, 48.56 deg, I 28; d 2.165, 41.72 deg, I 8; d 2.372, 37.94 deg, I 7; d 2.004, 45.24 deg, I 5; d 3.750, 23.73 deg, I 4; d 1.677, 54.74 deg, I 2

Atomic structure:
```
SrTi4Cu3O12
1.0
-3.750 3.750 3.750
3.750 -3.750 3.750
3.750 3.750 -3.750
Sr Ti Cu O
1 4 3 12
Cartesian
0.000 0.000 0.000
1.875 1.875 -1.875
1.875 -1.875 1.875
-1.875 1.875 1.875
1.875 1.875 1.875
3.750 0.000 0.000
0.000 3.750 0.000
0.000 0.000 3.750
3.750 -1.463 2.405
2.287 1.345 0.000
5.213 1.345 0.000
2.405 3.750 -1.463
1.345 0.000 2.287
0.000 2.287 1.345
3.750 1.463 2.405
2.405 3.750 1.463
1.345 0.000 5.213
-1.463 2.405 3.750
1.463 2.405 3.750
0.000 5.213 1.345
```



No. 5
Calculated X-ray powder pattern
Compound: Sr2TiCu2O7
Radiation: Cu Kα
Structure: a structure optimized by DFT (PBE)
Kinematic intensities with the Lorentz-polarization factor, no thermal factor.

Principal peaks in the range 2θ from 5° to 70°, by intensity:
d 3.184, 28.03 deg, I 100; d 2.773, 32.28 deg, I 81; d 2.397, 37.51 deg, I 76; d 1.844, 49.44 deg, I 48; d 2.577, 34.81 deg, I 41; d 6.311, 14.03 deg, I 40; d 2.638, 33.98 deg, I 39; d 2.524, 35.56 deg, I 37

Atomic structure:
```
Sr2TiCu2O7
1.0
-12.622 2.638 2.577
12.622 -2.638 2.577
12.622 2.638 -2.577
Sr Ti Cu O
4 2 4 14
Cartesian
3.627 0.059 0.000
8.995 0.059 0.000
3.627 2.580 2.577
8.995 2.580 2.577
6.311 -0.374 2.245
6.311 3.012 -0.333
1.521 -0.013 2.590
11.101 -0.013 2.590
1.521 2.652 0.013
11.101 2.652 0.013
10.732 1.323 -1.277
14.571 1.321 -1.275
10.673 -1.317 1.302
14.512 -1.315 1.300
18.933 0.523 0.365
4.690 2.400 0.125
7.932 2.400 0.125
1.890 1.315 1.300
10.732 1.315 1.300
-1.949 1.317 1.302
14.571 1.317 1.302
4.690 0.238 2.702
7.932 0.238 2.702
-6.311 2.115 2.942
```



No. 6
Calculated X-ray powder pattern
Compound: Sr6Tl3Cu3O16
Radiation: Cu Kα
Structure: a structure optimized by DFT (PBE)
Kinematic intensities with the Lorentz-polarization factor, no thermal factor.

Principal peaks in the range 2θ from 5° to 70°, by intensity:
d 2.917, 30.65 deg, I 100; d 2.829, 31.63 deg, I 37; d 1.929, 47.12 deg, I 37; d 3.539, 25.16 deg, I 30; d 2.635, 34.03 deg, I 29; d 1.650, 55.72 deg, I 24; d 1.619, 56.89 deg, I 18; d 2.230, 40.45 deg, I 17

Atomic structure:
```
Sr6Tl3Cu3O16
1.0
7.904 -2.829 0.000
7.904 2.829 0.000
-5.266 0.000 8.920
Sr Tl Cu O
6 3 3 16
Cartesian
-0.020 0.000 1.854
-0.018 0.000 7.059
5.272 0.000 1.824
5.271 0.000 7.096
10.560 0.000 1.861
10.562 0.000 7.066
-2.633 0.000 4.460
2.399 0.000 4.461
8.143 0.000 4.459
2.629 0.000 0.008
7.904 0.000 0.000
7.913 0.000 8.911
3.952 1.414 0.000
-2.634 0.000 6.555
1.318 1.410 8.913
0.043 0.000 4.457
2.650 0.000 2.380
9.225 1.410 0.007
5.271 0.680 4.460
2.653 0.000 6.539
3.952 -1.414 0.000
7.890 0.000 2.381
5.271 -0.680 4.460
1.318 -1.410 8.913
7.892 0.000 6.539
10.499 0.000 4.463
9.225 -1.410 0.007
13.176 0.000 2.365
```



No. 7
Calculated X-ray powder pattern
Compound: Sr2YTlCu2O7
Radiation: Cu Kα
Structure: a structure optimized by DFT (PBE)
Kinematic intensities with the Lorentz-polarization factor, no thermal factor.

Principal peaks in the range 2θ from 5° to 70°, by intensity:
d 2.785, 32.14 deg, I 100; d 2.705, 33.12 deg, I 67; d 1.577, 58.55 deg, I 37; d 1.913, 47.54 deg, I 35; d 3.240, 27.53 deg, I 24; d 3.650, 24.39 deg, I 19; d 2.023, 44.80 deg, I 16; d 1.624, 56.66 deg, I 15

Atomic structure:
```
Sr2YTlCu2O7
1.0
3.825 0.000 0.000
0.000 3.825 0.000
0.000 0.000 12.190
Sr Y Tl Cu O
2 1 1 2 7
Cartesian
0.000 0.000 2.514
0.000 0.000 9.676
0.000 0.000 6.095
1.913 1.913 0.000
1.913 1.913 4.410
1.913 1.913 7.780
0.000 0.000 0.000
0.000 1.913 4.633
0.000 1.913 7.556
1.913 0.000 4.633
1.913 0.000 7.556
1.913 1.913 2.121
1.913 1.913 10.069
```